Calculated PXRD pattern of Cs2AcZr2S7 for Cu Kα, 1.54184 Å, from the GGA-PBE geometry in Alexandria.

Peak list (8 most intense, 2θ from 5° to 70°, by angle)
Position (°2θ)  Rel. int.
6.38  49
23.89  100
25.01  60
31.74  36
35.67  48
41.31  30
43.38  42
48.90  18

Atomic structure:
```
Cs2AcZr2S7
1.0
-2.517 2.517 13.845
2.517 -2.517 13.845
2.517 2.517 -13.845
Cs Ac Zr S
2 1 2 7
Direct
0.185 0.185 0.000 Cs
0.815 0.815 0.000 Cs
0.000 0.000 0.000 Ac
0.404 0.404 0.000 Zr
0.596 0.596 0.000 Zr
0.075 0.575 0.500 S
0.319 0.319 0.000 S
0.425 0.925 0.500 S
0.500 0.500 0.000 S
0.575 0.075 0.500 S
0.681 0.681 0.000 S
0.925 0.425 0.500 S
```